Starting from a crystal structure in the Materials Project, relaxed with PBE, the X-ray powder pattern of Dy7Te2Pd2 was calculated for Cu Kα.
Kinematic intensities with the Lorentz-polarization factor, no thermal factor.

Main lines, low angle first (2θ = 5–70°):
- hkl 1 3 0, 28.18 deg, 3.167 Å, intensity 31.0
- hkl 1 1 2, 29.69 deg, 3.009 Å, intensity 67.5
- hkl 0 3 3, 32.48 deg, 2.757 Å, intensity 58.0
- hkl 1 4 1, 33.34 deg, 2.687 Å, intensity 100.0
- hkl 1 3 2, 33.81 deg, 2.651 Å, intensity 44.8
- hkl 1 0 3, 35.84 deg, 2.505 Å, intensity 21.2
- hkl 1 2 3, 37.67 deg, 2.388 Å, intensity 22.0
- hkl 2 0 0, 45.83 deg, 1.980 Å, intensity 27.7
- hkl 0 3 5, 50.15 deg, 1.819 Å, intensity 19.0
- hkl 2 3 3, 57.29 deg, 1.608 Å, intensity 23.1

a = 3.960 Å, b = 15.799 Å, c = 9.705 Å
α = 90.00°, β = 90.00°, γ = 90.00°
Space group Imm2 (No. 44)
Unique sites:
1 Dy 0.000 0.000 0.000 (multiplicity 2)
2 Dy 0.000 0.128 0.585 (multiplicity 4)
3 Dy 0.000 0.317 0.377 (multiplicity 4)
4 Dy 0.000 0.357 0.735 (multiplicity 4)
5 Te 0.000 0.000 0.338 (multiplicity 2)
6 Te 0.000 0.500 0.238 (multiplicity 2)
7 Pd 0.000 0.237 0.073 (multiplicity 4)

=====

Starting from a crystal structure in the Materials Project, relaxed with PBE, the X-ray powder pattern of Ti3Nb was calculated for Cu Kα.
Kinematic intensities with the Lorentz-polarization factor, no thermal factor.

Main lines, low angle first (2θ = 5–70°):
- hkl 0 0 2, 19.77 deg, 4.492 Å, intensity 5.4
- hkl 1 0 1, 24.59 deg, 3.620 Å, intensity 12.8
- hkl 1 1 0, 32.00 deg, 2.797 Å, intensity 3.3
- hkl 1 0 3, 37.68 deg, 2.387 Å, intensity 4.2
- hkl 1 1 2, 37.90 deg, 2.374 Å, intensity 100.0
- hkl 0 0 4, 40.15 deg, 2.246 Å, intensity 21.1
- hkl 2 0 0, 45.89 deg, 1.978 Å, intensity 28.0
- hkl 2 1 1, 52.75 deg, 1.735 Å, intensity 3.4
- hkl 2 0 4, 62.59 deg, 1.484 Å, intensity 20.7
- hkl 2 2 0, 66.91 deg, 1.398 Å, intensity 8.4

a = 3.955 Å, b = 3.955 Å, c = 8.983 Å
α = 90.00°, β = 90.00°, γ = 90.00°
Space group I4/mmm (No. 139)
Unique sites:
1 Ti 0.000 0.000 0.000 (multiplicity 2)
2 Ti 0.000 0.500 0.250 (multiplicity 4)
3 Nb 0.000 0.000 0.500 (multiplicity 2)

=====

Starting from a crystal structure in the Materials Project, relaxed with PBE, the X-ray powder pattern of Pr3Co13B2 was calculated for Cu Kα.
Kinematic intensities with the Lorentz-polarization factor, no thermal factor.

Main lines, low angle first (2θ = 5–70°):
- hkl 1 0 3, 31.97 deg, 2.799 Å, intensity 69.6
- hkl 1 1 0, 35.08 deg, 2.558 Å, intensity 33.0
- hkl 1 1 2, 38.95 deg, 2.312 Å, intensity 13.6
- hkl 2 0 0, 40.73 deg, 2.215 Å, intensity 62.2
- hkl 1 1 3, 43.35 deg, 2.087 Å, intensity 100.0
- hkl 0 0 6, 50.55 deg, 1.806 Å, intensity 13.2
- hkl 2 1 3, 60.99 deg, 1.519 Å, intensity 21.7
- hkl 1 1 6, 62.99 deg, 1.476 Å, intensity 18.4
- hkl 2 0 6, 66.85 deg, 1.400 Å, intensity 14.0
- hkl 3 0 3, 68.66 deg, 1.367 Å, intensity 23.9

a = 5.1159 Å, b = 5.1159 Å, c = 10.8333 Å
α = 90.00°, β = 90.00°, γ = 120.00°
Space group P6/mmm (No. 191)
Unique sites:
1 Pr 0.0000 0.0000 0.0000 (multiplicity 1)
2 Pr 0.0000 0.0000 0.3229 (multiplicity 2)
3 Co 0.0000 0.5000 0.1344 (multiplicity 6)
4 Co 0.0000 0.5000 0.5000 (multiplicity 3)
5 Co 0.3333 0.6667 0.3182 (multiplicity 4)
6 B 0.3333 0.6667 0.0000 (multiplicity 2)

=====

Starting from a crystal structure in the Materials Project, relaxed with PBE, the X-ray powder pattern of UCu2Sn2 was calculated for Cu Kα.
Kinematic intensities with the Lorentz-polarization factor, no thermal factor.

Main lines, low angle first (2θ = 5–70°):
- hkl 1 1 0, 28.65 deg, 3.115 Å, intensity 20.3
- hkl 1 0 3, 32.67 deg, 2.741 Å, intensity 65.6
- hkl 1 1 2, 33.44 deg, 2.679 Å, intensity 100.0
- hkl 2 0 0, 40.97 deg, 2.203 Å, intensity 57.1
- hkl 1 0 5, 47.98 deg, 1.896 Å, intensity 28.1
- hkl 2 1 3, 53.35 deg, 1.717 Å, intensity 33.5
- hkl 2 2 0, 59.33 deg, 1.558 Å, intensity 19.3
- hkl 1 1 6, 60.68 deg, 1.526 Å, intensity 12.5
- hkl 2 1 5, 64.88 deg, 1.437 Å, intensity 23.2
- hkl 3 1 2, 69.85 deg, 1.347 Å, intensity 24.6

a = 4.406 Å, b = 4.406 Å, c = 10.504 Å
α = 90.00°, β = 90.00°, γ = 90.00°
Space group P4/nmm (No. 129, origin choice 2)
Unique sites:
1 U 0.250 0.250 0.241 (multiplicity 2)
2 Cu 0.250 0.250 0.634 (multiplicity 2)
3 Cu 0.250 0.750 0.000 (multiplicity 2)
4 Sn 0.250 0.250 0.869 (multiplicity 2)
5 Sn 0.250 0.750 0.500 (multiplicity 2)

=====

Starting from a crystal structure in the Materials Project, relaxed with PBE, the X-ray powder pattern of TbGa2Co3 was calculated for Cu Kα.
Kinematic intensities with the Lorentz-polarization factor, no thermal factor.

Main lines, low angle first (2θ = 5–70°):
- hkl 1 0 1, 25.94 deg, 3.435 Å, intensity 34.8
- hkl 2 0 1, 32.82 deg, 2.729 Å, intensity 45.7
- hkl 3 0 0, 34.57 deg, 2.594 Å, intensity 69.6
- hkl 2 1 1, 38.60 deg, 2.333 Å, intensity 73.2
- hkl 2 2 0, 40.13 deg, 2.247 Å, intensity 56.1
- hkl 3 0 1, 42.07 deg, 2.148 Å, intensity 100.0
- hkl 2 2 1, 46.89 deg, 1.938 Å, intensity 37.1
- hkl 0 0 2, 47.50 deg, 1.914 Å, intensity 41.3
- hkl 3 0 2, 60.07 deg, 1.540 Å, intensity 28.5
- hkl 2 2 2, 63.89 deg, 1.457 Å, intensity 26.9

a = 8.9873 Å, b = 8.9873 Å, c = 3.8280 Å
α = 90.00°, β = 90.00°, γ = 120.00°
Space group P6/mmm (No. 191)
Unique sites:
1 Tb 0.0000 0.0000 0.0000 (multiplicity 1)
2 Tb 0.3333 0.6667 0.5000 (multiplicity 2)
3 Ga 0.0000 0.3159 0.5000 (multiplicity 6)
4 Co 0.0000 0.5000 0.0000 (multiplicity 3)
5 Co 0.1833 0.3665 0.0000 (multiplicity 6)

=====

Starting from a crystal structure in the Materials Project, relaxed with PBE, the X-ray powder pattern of SrAgO2 was calculated for Cu Kα.
Kinematic intensities with the Lorentz-polarization factor, no thermal factor.

Main lines, low angle first (2θ = 5–70°):
- hkl 1 1 0, 20.89 deg, 4.253 Å, intensity 2.4
- hkl 0 0 2, 25.98 deg, 3.430 Å, intensity 4.4
- hkl 2 0 0, 29.71 deg, 3.007 Å, intensity 47.7
- hkl 1 1 2, 33.56 deg, 2.670 Å, intensity 100.0
- hkl 2 2 0, 42.51 deg, 2.127 Å, intensity 34.0
- hkl 0 0 4, 53.42 deg, 1.715 Å, intensity 8.3
- hkl 3 1 2, 55.22 deg, 1.663 Å, intensity 46.3
- hkl 4 0 0, 61.68 deg, 1.504 Å, intensity 10.4
- hkl 2 0 4, 62.32 deg, 1.490 Å, intensity 12.0
- hkl 4 2 0, 69.94 deg, 1.345 Å, intensity 8.7

a = 6.015 Å, b = 6.015 Å, c = 6.860 Å
α = 90.00°, β = 90.00°, γ = 90.00°
Space group I4/mcm (No. 140)
Unique sites:
1 Sr 0.000 0.500 0.250 (multiplicity 4)
2 Ag 0.000 0.000 0.000 (multiplicity 4)
3 O 0.238 0.262 0.000 (multiplicity 8)

=====

Starting from a crystal structure in the Materials Project, relaxed with PBE, the X-ray powder pattern of MnFeP was calculated for Cu Kα.
Kinematic intensities with the Lorentz-polarization factor, no thermal factor.

Main lines, low angle first (2θ = 5–70°):
- hkl 2 1 0, 40.36 deg, 2.235 Å, intensity 45.1
- hkl 1 1 2, 40.54 deg, 2.225 Å, intensity 100.0
- hkl 2 0 2, 41.45 deg, 2.179 Å, intensity 14.0
- hkl 2 1 1, 42.71 deg, 2.117 Å, intensity 81.1
- hkl 1 0 3, 43.91 deg, 2.062 Å, intensity 30.3
- hkl 0 1 3, 48.71 deg, 1.869 Å, intensity 34.0
- hkl 3 0 1, 49.20 deg, 1.852 Å, intensity 40.1
- hkl 1 1 3, 51.37 deg, 1.779 Å, intensity 20.7
- hkl 0 2 0, 52.00 deg, 1.759 Å, intensity 43.3
- hkl 3 0 2, 55.10 deg, 1.667 Å, intensity 15.9

a = 5.787 Å, b = 3.517 Å, c = 6.620 Å
α = 90.00°, β = 90.00°, γ = 90.00°
Space group Pnma (No. 62)
Unique sites:
1 Mn 0.030 0.250 0.172 (multiplicity 4)
2 Fe 0.147 0.250 0.563 (multiplicity 4)
3 P 0.231 0.750 0.376 (multiplicity 4)

=====

Starting from a crystal structure in the Materials Project, relaxed with PBE, the X-ray powder pattern of KTlC4N4 was calculated for Cu Kα.
Kinematic intensities with the Lorentz-polarization factor, no thermal factor.

Main lines, low angle first (2θ = 5–70°):
- hkl 1 0 1, 12.73 deg, 6.956 Å, intensity 59.1
- hkl 1 1 2, 19.80 deg, 4.484 Å, intensity 100.0
- hkl 1 0 3, 20.69 deg, 4.294 Å, intensity 20.6
- hkl 2 0 0, 22.83 deg, 3.896 Å, intensity 16.7
- hkl 1 2 1, 26.22 deg, 3.399 Å, intensity 22.9
- hkl 2 2 0, 32.50 deg, 2.755 Å, intensity 18.9
- hkl 2 0 4, 32.66 deg, 2.742 Å, intensity 40.9
- hkl 1 3 2, 38.35 deg, 2.347 Å, intensity 32.0
- hkl 1 1 6, 38.62 deg, 2.331 Å, intensity 15.5
- hkl 3 1 6, 51.34 deg, 1.780 Å, intensity 17.6

a = 7.792 Å, b = 7.792 Å, c = 15.438 Å
α = 90.00°, β = 90.00°, γ = 90.00°
Space group I4_1/a (No. 88, origin choice 2)
Unique sites:
1 K 0.000 0.250 0.125 (multiplicity 4)
2 Tl 0.000 0.250 0.625 (multiplicity 4)
3 C 0.131 0.435 0.710 (multiplicity 16)
4 N 0.194 0.032 0.241 (multiplicity 16)